Record 1
Rh2O3: simulated X-ray powder pattern (Cu Ka), based on a DFT-relaxed cell (GGA-PBE, the Materials Project).
Intensities are scaled so that the largest is 100.

Main lines, low angle first (2θ from 10° to 80°):
2θ/deg, d [Å], intensity
15.0, 5.887, 29
20.0, 4.434, 100
22.6, 3.936, 39
30.4, 2.943, 34
35.7, 2.516, 12
36.0, 2.497, 14
40.7, 2.214, 24
44.9, 2.018, 23
46.5, 1.954, 20
51.1, 1.788, 14

Atomic structure:
```
data_Rh2O3
_chemical_formula_sum 'Rh4 O6'
_space_group_name_H-M_alt 'P 1'
_space_group_IT_number 1
_space_group_name_Hall 'P 1'
_cell_length_a 6.175
_cell_length_b 6.175
_cell_length_c 5.235
_cell_angle_alpha 106.25
_cell_angle_beta 106.25
_cell_angle_gamma 91.78
loop_
_atom_site_label
_atom_site_fract_x
_atom_site_fract_y
_atom_site_fract_z
Rh1 0.195 0.207 0.157
Rh2 0.207 0.195 0.657
Rh3 0.793 0.805 0.343
Rh4 0.805 0.793 0.843
O1 0.064 0.936 0.750
O2 0.236 0.429 0.503
O3 0.429 0.236 0.003
O4 0.571 0.764 0.997
O5 0.764 0.571 0.497
O6 0.936 0.064 0.250
```


Record 2
La2Cd2O5: simulated X-ray powder pattern (Cu Ka), based on a DFT-relaxed cell (GGA-PBE, the Materials Project).
Intensities are scaled so that the largest is 100.

Main lines, low angle first (2θ from 10° to 80°):
2θ/deg, d [Å], intensity
26.5, 3.364, 15
28.7, 3.111, 24
29.7, 3.011, 32
30.4, 2.942, 100
41.7, 2.164, 17
42.1, 2.144, 11
45.2, 2.006, 13
49.5, 1.841, 16
53.1, 1.725, 26
55.0, 1.670, 11

Atomic structure:
```
data_La2Cd2O5
_chemical_formula_sum 'La8 Cd8 O20'
_space_group_name_H-M_alt 'P 1'
_space_group_IT_number 1
_space_group_name_Hall 'P 1'
_cell_length_a 6.221
_cell_length_b 16.048
_cell_length_c 6.023
_cell_angle_alpha 90.00
_cell_angle_beta 90.00
_cell_angle_gamma 90.00
loop_
_atom_site_label
_atom_site_fract_x
_atom_site_fract_y
_atom_site_fract_z
La1 0.062 0.116 0.007
La2 0.062 0.384 0.007
La3 0.438 0.616 0.507
La4 0.438 0.884 0.507
La5 0.562 0.116 0.493
La6 0.562 0.384 0.493
La7 0.938 0.616 0.993
La8 0.938 0.884 0.993
Cd1 0.000 0.000 0.500
Cd2 0.000 0.500 0.500
Cd3 0.072 0.250 0.524
Cd4 0.428 0.750 0.024
Cd5 0.500 0.000 0.000
Cd6 0.500 0.500 0.000
Cd7 0.572 0.250 0.976
Cd8 0.928 0.750 0.476
O1 0.072 0.750 0.121
O2 0.073 0.640 0.635
O3 0.073 0.860 0.635
O4 0.187 0.535 0.184
O5 0.187 0.965 0.184
O6 0.313 0.035 0.684
O7 0.313 0.465 0.684
O8 0.427 0.140 0.135
O9 0.427 0.360 0.135
O10 0.428 0.250 0.621
O11 0.572 0.750 0.379
O12 0.573 0.640 0.865
O13 0.573 0.860 0.865
O14 0.687 0.535 0.316
O15 0.687 0.965 0.316
O16 0.813 0.035 0.816
O17 0.813 0.465 0.816
O18 0.927 0.140 0.365
O19 0.927 0.360 0.365
O20 0.928 0.250 0.879
```